Ba4U3S10: computed XRD peak list (Cu Kα (λ = 1.5418 Å)), based on a GGA-PBE-relaxed structure.
Lines closer than 0.1° are merged.

Cell and atoms:
Cell: 5.2483 5.2483 36.6183 Å, 90.00 90.00 90.00°
Space group I4/mmm (No. 139)
Asymmetric unit:
Ba 0.0000 0.0000 0.0688 x4
Ba 0.0000 0.0000 0.2000 x4
U 0.0000 0.0000 0.3560 x4
U 0.0000 0.0000 0.5000 x2
S 0.0000 0.0000 0.2844 x4
S 0.0000 0.0000 0.4285 x4
S 0.0000 0.5000 0.0000 x4
S 0.0000 0.5000 0.1411 x8

Largest 10 diffraction maxima, sorted by position, 2θ from 15° to 90°:
17.07°, I 9.0, hkl 1 0 1; 24.00°, I 100.0, hkl 1 1 0; 34.17°, I 29.0, hkl 2 0 0; 34.28°, I 11.0, hkl 0 0 14; 36.19°, I 8.3, hkl 1 0 13; 42.22°, I 41.5, hkl 2 1 7; 49.15°, I 25.7, hkl 2 2 0; 55.37°, I 14.9, hkl 3 1 0; 66.72°, I 14.6, hkl 3 2 7; 82.16°, I 8.5, hkl 4 2 0

***

TaSi2Rh: computed XRD peak list (Cu Kα (λ = 1.5418 Å)), based on a GGA-PBE-relaxed structure.
Lines closer than 0.1° are merged.

Cell and atoms:
Cell: 4.3818 4.3818 2.9846 Å, 90.00 90.00 90.00°
Space group P4/mmm (No. 123)
Asymmetric unit:
Ta 0.0000 0.0000 0.0000 x1
Si 0.0000 0.5000 0.5000 x2
Rh 0.5000 0.5000 0.0000 x1

Largest 10 diffraction maxima, sorted by position, 2θ from 15° to 90°:
20.27°, I 13.8, hkl 1 0 0; 28.81°, I 60.9, hkl 1 1 0; 29.94°, I 27.6, hkl 0 0 1; 41.20°, I 52.9, hkl 2 0 0; 42.03°, I 100.0, hkl 1 1 1; 51.76°, I 24.6, hkl 2 0 1; 59.69°, I 17.7, hkl 2 2 0; 67.61°, I 11.0, hkl 3 1 0; 75.67°, I 35.3, hkl 3 1 1; 77.37°, I 16.6, hkl 2 0 2

***

Na5P4: computed XRD peak list (Cu Kα (λ = 1.5418 Å)), based on a GGA-PBE-relaxed structure.
Lines closer than 0.1° are merged.

Cell and atoms:
Cell: 10.2261 4.5235 9.1372 Å, 90.00 111.00 90.00°
Space group C2/m (No. 12)
Asymmetric unit:
Na 0.0000 0.0000 0.0000 x2
Na 0.1105 0.0000 0.3934 x4
Na 0.2456 0.0000 0.8348 x4
P 0.0431 0.5000 0.8178 x4
P 0.0968 0.5000 0.6057 x4

Largest 10 diffraction maxima, sorted by position, 2θ from 15° to 90°:
18.59°, I 34.7, hkl 2 0 0; 21.74°, I 31.8, hkl 1 1 0; 32.58°, I 98.9, hkl 1 1 2; 32.90°, I 100.0, hkl 3 1 -1; 35.59°, I 53.8, hkl 1 1 -3; 39.03°, I 43.5, hkl 3 1 1; 39.50°, I 50.3, hkl 3 1 -3; 39.86°, I 68.8, hkl 0 2 0; 42.85°, I 33.6, hkl 4 0 1; 59.95°, I 23.1, hkl 4 2 1

***

Y6Au5: computed XRD peak list (Cu Kα (λ = 1.5418 Å)), based on a GGA-PBE-relaxed structure.
Lines closer than 0.1° are merged.

Cell and atoms:
Cell: 5.0593 7.1895 15.2159 Å, 90.00 90.00 90.00°
Space group Immm (No. 71)
Asymmetric unit:
Y 0.0000 0.2505 0.0000 x4
Y 0.0000 0.2503 0.3350 x8
Au 0.0000 0.0000 0.1607 x4
Au 0.0000 0.0000 0.5000 x2
Au 0.0000 0.5000 0.1703 x4

Largest 10 diffraction maxima, sorted by position, 2θ from 15° to 90°:
24.83°, I 11.7, hkl 0 2 0; 35.38°, I 100.0, hkl 1 2 3; 35.49°, I 20.0, hkl 2 0 0; 50.80°, I 7.2, hkl 0 4 0; 50.99°, I 14.0, hkl 2 0 6; 63.50°, I 28.6, hkl 2 4 0; 63.65°, I 14.5, hkl 3 2 3; 74.85°, I 11.1, hkl 2 4 6; 85.44°, I 6.6, hkl 1 6 3; 85.73°, I 9.4, hkl 3 2 9

***

Cs2K2PdO4: computed XRD peak list (Cu Kα (λ = 1.5418 Å)), based on a GGA-PBE-relaxed structure.
Lines closer than 0.1° are merged.

Cell and atoms:
Cell: 6.5281 6.5281 8.6720 Å, 90.00 90.00 90.00°
Space group I4/mmm (No. 139)
Asymmetric unit:
Cs 0.0000 0.5000 0.2500 x4
K 0.0000 0.0000 0.1582 x4
Pd 0.0000 0.0000 0.5000 x2
O 0.2168 0.2168 0.5000 x8

Largest 10 diffraction maxima, sorted by position, 2θ from 15° to 90°:
17.00°, I 18.2, hkl 1 0 1; 27.32°, I 71.6, hkl 2 0 0; 28.24°, I 100.0, hkl 1 1 2; 33.92°, I 22.2, hkl 1 0 3; 34.39°, I 31.2, hkl 2 0 2; 39.03°, I 45.9, hkl 2 2 0; 44.09°, I 15.6, hkl 2 1 3; 48.86°, I 41.0, hkl 3 1 2; 58.40°, I 14.6, hkl 2 2 4; 81.25°, I 15.9, hkl 3 1 6

***

TmB4Ir4: computed XRD peak list (Cu Kα (λ = 1.5418 Å)), based on a GGA-PBE-relaxed structure.
Lines closer than 0.1° are merged.

Cell and atoms:
Cell: 7.6171 7.6171 3.9922 Å, 90.00 90.00 90.00°
Space group P4_2/n (No. 86, origin choice 2)
Asymmetric unit:
Tm 0.2500 0.2500 0.2500 x2
B 0.0270 0.9072 0.1371 x8
Ir 0.0894 0.6406 0.1353 x8

Largest 10 diffraction maxima, sorted by position, 2θ from 15° to 90°:
16.46°, I 13.8, hkl 1 1 0; 27.82°, I 23.0, hkl 1 1 1; 34.62°, I 100.0, hkl 2 1 1; 37.33°, I 64.2, hkl 1 3 0; 40.40°, I 26.4, hkl 2 2 1; 47.06°, I 22.6, hkl 1 0 2; 53.82°, I 15.2, hkl 4 2 0; 58.85°, I 15.2, hkl 3 0 2; 65.59°, I 20.7, hkl 3 4 1; 79.09°, I 14.8, hkl 4 3 2

***

Li5Ac4Hg6: computed XRD peak list (Cu Kα (λ = 1.5418 Å)), based on a GGA-PBE-relaxed structure.
Lines closer than 0.1° are merged.

Cell and atoms:
Cell: 4.5346 24.1428 15.0451 Å, 90.00 90.00 90.00°
Space group Cmc2_1 (No. 36)
Asymmetric unit:
Li 0.0000 0.0566 0.0000 x4
Li 0.0000 0.1556 0.3199 x4
Li 0.0000 0.1647 0.9024 x4
Li 0.0000 0.2497 0.4386 x4
Li 0.0000 0.3340 0.9674 x4
Ac 0.0000 0.3162 0.2198 x4
Ac 0.0000 0.3514 0.6314 x4
Ac 0.0000 0.4651 0.8626 x4
Ac 0.0000 0.4677 0.1207 x4
Hg 0.0000 0.0577 0.2013 x4
Hg 0.0000 0.0750 0.7749 x4
Hg 0.0000 0.1057 0.5006 x4
Hg 0.0000 0.2330 0.0448 x4
Hg 0.0000 0.2702 0.8162 x4
Hg 0.0000 0.3988 0.4191 x4

Largest 10 diffraction maxima, sorted by position, 2θ from 15° to 90°:
23.27°, I 39.8, hkl 1 3 1; 25.47°, I 42.7, hkl 1 3 2; 27.63°, I 84.5, hkl 1 5 1; 28.44°, I 35.3, hkl 0 6 3; 28.77°, I 31.2, hkl 1 3 3; 31.11°, I 100.0, hkl 1 1 4; 32.44°, I 62.2, hkl 1 5 3; 33.21°, I 55.5, hkl 0 4 5; 36.01°, I 47.2, hkl 1 1 5; 39.76°, I 66.4, hkl 2 0 0

***

Ac6Tl6Ir: computed XRD peak list (Cu Kα (λ = 1.5418 Å)), based on a GGA-PBE-relaxed structure.
Lines closer than 0.1° are merged.

Cell and atoms:
Cell: 6.9412 11.9998 11.4267 Å, 90.00 90.00 90.00°
Space group Cmmm (No. 65)
Asymmetric unit:
Ac 0.0000 0.0000 0.2392 x4
Ac 0.0000 0.3330 0.0000 x4
Ac 0.0000 0.3332 0.5000 x4
Tl 0.0000 0.5000 0.2561 x4
Tl 0.2500 0.2500 0.2562 x8
Ir 0.0000 0.0000 0.0000 x2

Largest 10 diffraction maxima, sorted by position, 2θ from 15° to 90°:
25.69°, I 34.8, hkl 2 0 0; 29.75°, I 37.5, hkl 0 4 0; 30.15°, I 40.2, hkl 2 0 2; 31.31°, I 40.9, hkl 0 0 4; 33.72°, I 100.0, hkl 2 2 2; 40.93°, I 20.4, hkl 2 0 4; 43.74°, I 25.6, hkl 0 4 4; 52.81°, I 29.8, hkl 4 0 0; 57.29°, I 21.2, hkl 2 2 6; 62.69°, I 35.1, hkl 4 0 4

***

Ba2YCu3Pb2O8: computed XRD peak list (Cu Kα (λ = 1.5418 Å)), based on a GGA-PBE-relaxed structure.
Lines closer than 0.1° are merged.

Cell and atoms:
Cell: 5.4818 16.6326 5.5407 Å, 90.00 90.00 90.00°
Space group P222_1 (No. 17)
Asymmetric unit:
Ba 0.2504 0.2234 0.0007 x4
Y 0.2500 0.0000 0.0000 x2
Cu 0.2368 0.5000 0.0000 x2
Cu 0.2499 0.0979 0.5001 x4
Pb 0.2414 0.3905 0.4874 x4
O 0.0000 0.0870 0.2500 x2
O 0.0000 0.0866 0.7500 x2
O 0.2275 0.3905 0.0626 x4
O 0.2496 0.2577 0.5043 x4
O 0.5000 0.0871 0.2500 x2
O 0.5000 0.0866 0.7500 x2

Largest 10 diffraction maxima, sorted by position, 2θ from 15° to 90°:
23.45°, I 19.2, hkl 1 1 1; 27.99°, I 13.4, hkl 1 3 1; 31.46°, I 100.0, hkl 1 4 1; 32.31°, I 41.7, hkl 0 0 2; 32.67°, I 34.0, hkl 2 0 0; 39.91°, I 12.1, hkl 1 6 1; 46.61°, I 33.7, hkl 2 0 2; 55.00°, I 13.5, hkl 1 9 1; 57.10°, I 19.0, hkl 1 4 3; 57.55°, I 18.2, hkl 3 4 1

***

Tb2Pr2Zn3: computed XRD peak list (Cu Kα (λ = 1.5418 Å)), based on a GGA-PBE-relaxed structure.
Lines closer than 0.1° are merged.

Cell and atoms:
Cell: 9.0746 9.0746 9.0746 Å, 90.00 90.00 90.00°
Space group I2_13 (No. 199)
Asymmetric unit:
Tb 0.0699 0.4301 0.5699 x8
Pr 0.1736 0.1736 0.1736 x8
Zn 0.0000 0.2500 0.8609 x12

Largest 10 diffraction maxima, sorted by position, 2θ from 15° to 90°:
24.02°, I 20.1, hkl 2 1 1; 27.81°, I 10.0, hkl 2 2 0; 31.17°, I 100.0, hkl 3 0 1; 37.07°, I 74.6, hkl 3 1 2; 49.19°, I 24.5, hkl 4 2 2; 51.34°, I 31.8, hkl 4 3 1; 63.16°, I 23.6, hkl 6 1 1; 65.00°, I 13.2, hkl 6 0 2; 66.81°, I 16.2, hkl 5 4 1; 77.26°, I 11.5, hkl 5 5 2

***

NpMn2Al10: computed XRD peak list (Cu Kα (λ = 1.5418 Å)), based on a GGA-PBE-relaxed structure.
Lines closer than 0.1° are merged.

Cell and atoms:
Cell: 8.9138 10.2457 8.9985 Å, 90.00 90.00 90.00°
Space group Cmcm (No. 63)
Asymmetric unit:
Np 0.0000 0.1255 0.2500 x4
Mn 0.2500 0.2500 0.0000 x8
Al 0.0000 0.1567 0.5976 x8
Al 0.0000 0.3744 0.0474 x8
Al 0.1524 0.3701 0.7500 x8
Al 0.2259 0.0000 0.0000 x8
Al 0.2290 0.3622 0.2500 x8

Largest 10 diffraction maxima, sorted by position, 2θ from 15° to 90°:
16.46°, I 94.0, hkl 1 1 1; 19.94°, I 70.8, hkl 0 2 1; 23.79°, I 54.3, hkl 1 1 2; 28.18°, I 55.0, hkl 2 0 2; 28.33°, I 76.2, hkl 2 2 1; 34.65°, I 49.0, hkl 0 2 3; 37.31°, I 51.2, hkl 3 1 2; 40.28°, I 100.0, hkl 2 2 3; 40.51°, I 99.1, hkl 4 0 0; 40.62°, I 53.5, hkl 2 4 0

***

La5Dy5Er2: computed XRD peak list (Cu Kα (λ = 1.5418 Å)), based on a GGA-PBE-relaxed structure.
Lines closer than 0.1° are merged.

Cell and atoms:
Cell: 15.4613 5.1247 11.4109 Å, 90.00 116.78 90.00°
Space group C2/m (No. 12)
Asymmetric unit:
La 0.0000 0.0000 0.0000 x2
La 0.0806 0.0000 0.7469 x4
La 0.2485 0.0000 0.2532 x4
Dy 0.0000 0.5000 0.5000 x2
Dy 0.0853 0.5000 0.2547 x4
Dy 0.1673 0.5000 0.9998 x4
Er 0.1672 0.0000 0.4992 x4

Largest 10 diffraction maxima, sorted by position, 2θ from 15° to 90°:
30.21°, I 100.0, hkl 3 1 1; 34.82°, I 17.2, hkl 6 0 -2; 35.02°, I 16.9, hkl 0 2 0; 35.24°, I 16.6, hkl 0 0 4; 50.21°, I 12.2, hkl 6 2 -2; 50.38°, I 12.0, hkl 6 0 2; 50.53°, I 11.9, hkl 0 2 4; 59.59°, I 14.5, hkl 9 1 -1; 59.86°, I 14.4, hkl 3 3 1; 62.83°, I 12.4, hkl 6 2 2